(1)
Rb3Zn4Au4: computed X-ray diffraction stick pattern (Cu Kα), based on DFT lattice parameters and positions (PBE).

Crystal structure
```
data_Rb3Zn4Au4
_chemical_formula_sum 'Rb6 Zn8 Au8'
_space_group_name_H-M_alt 'I -4 3 m'
_space_group_IT_number 217
_space_group_name_Hall 'I -4 2 3'
_cell_length_a 8.311
_cell_length_b 8.311
_cell_length_c 8.311
_cell_angle_alpha 90.00
_cell_angle_beta 90.00
_cell_angle_gamma 90.00
loop_
_atom_site_label
_atom_site_type_symbol
_atom_site_fract_x
_atom_site_fract_y
_atom_site_fract_z
Rb1 Rb 0.000 0.000 0.500
Zn1 Zn 0.120 0.120 0.120
Au1 Au 0.196 0.196 0.804
```

Main lines, by intensity (10 to 80 degrees two-theta):
d/Å	2θ/deg	I/Imax	h k l
2.938	30.42	100.0	2 2 0
1.959	46.35	82.6	4 1 1
3.393	26.27	58.5	2 1 1
2.221	40.62	54.7	3 2 1
2.628	34.11	52.0	3 1 0
1.348	69.75	35.5	6 1 1
4.156	21.38	23.7	2 0 0
1.772	51.58	22.9	3 3 2
5.877	15.08	21.5	1 1 0
1.425	65.49	18.0	5 3 0



(2)
RbZn4Au2: computed X-ray diffraction stick pattern (Cu Kα), based on DFT lattice parameters and positions (PBE).

Crystal structure
```
data_RbZn4Au2
_chemical_formula_sum 'Rb2 Zn8 Au4'
_space_group_name_H-M_alt 'P 42/m n m'
_space_group_IT_number 136
_space_group_name_Hall '-P 4n 2n'
_cell_length_a 8.288
_cell_length_b 8.288
_cell_length_c 4.161
_cell_angle_alpha 90.00
_cell_angle_beta 90.00
_cell_angle_gamma 90.00
loop_
_atom_site_label
_atom_site_type_symbol
_atom_site_fract_x
_atom_site_fract_y
_atom_site_fract_z
Rb1 Rb 0.000 0.000 0.000
Zn1 Zn 0.084 0.357 0.500
Au1 Au 0.228 0.772 0.500
```

Main lines, by intensity (10 to 80 degrees two-theta):
d/Å	2θ/deg	I/Imax	h k l
2.218	40.68	100.0	3 1 1
3.393	26.27	46.4	1 1 1
2.930	30.51	38.1	2 2 0
2.768	32.35	32.4	2 1 1
4.144	21.44	31.9	2 0 0
2.081	43.50	24.0	0 0 2
2.011	45.09	21.1	4 1 0
2.396	37.54	18.3	2 2 1
1.696	54.06	15.6	2 2 2
1.226	77.93	14.9	3 1 3